No. 1
# Ce2Ga5Co3
Theoretical PXRD pattern, Cu Kα. Input: a cell relaxed with PBE.

Structure:
```
data_Ce2Ga5Co3
_cell_length_a 9.8223
_cell_length_b 12.4135
_cell_length_c 5.5293
_cell_angle_alpha 90.00
_cell_angle_beta 90.00
_cell_angle_gamma 90.00
_space_group_name_H-M_alt 'I b a m'
_space_group_IT_number 72
_space_group_name_Hall '-I 2 2c'
loop_
_atom_site_label
_atom_site_type_symbol
_atom_site_fract_x
_atom_site_fract_y
_atom_site_fract_z
_atom_site_occupancy
Ce1 Ce 0.2187 0.1445 0.0000 1
Ga1 Ga 0.0000 0.0000 0.2500 1
Ga2 Ga 0.0000 0.2952 0.2500 1
Ga3 Ga 0.1722 0.4160 0.0000 1
Co1 Co 0.0000 0.5000 0.2500 1
Co2 Co 0.0948 0.1488 0.5000 1
```

Main lines, by angle (2θ = 5–70°):
- 34.18 deg, rel. 66
- 34.38 deg, rel. 31
- 34.97 deg, rel. 100
- 37.33 deg, rel. 96
- 40.29 deg, rel. 33
- 40.86 deg, rel. 37
- 43.86 deg, rel. 69
- 46.01 deg, rel. 18
- 55.11 deg, rel. 19
- 69.17 deg, rel. 18


No. 2
# Ce3Ga7Co4
Theoretical PXRD pattern, Cu Kα. Input: a cell relaxed with PBE.

Structure:
```
data_Ce3Ga7Co4
_cell_length_a 14.8646
_cell_length_b 4.1830
_cell_length_c 8.9357
_cell_angle_alpha 90.00
_cell_angle_beta 120.50
_cell_angle_gamma 90.00
_space_group_name_H-M_alt 'C 1 2/m 1'
_space_group_IT_number 12
loop_
_space_group_symop_operation_xyz
'x,y,z'
'-x,-y,-z'
'-x,y,-z'
'x,-y,z'
'x+1/2,y+1/2,z'
'-x+1/2,-y+1/2,-z'
'-x+1/2,y+1/2,-z'
'x+1/2,-y+1/2,z'
loop_
_atom_site_label
_atom_site_type_symbol
_atom_site_fract_x
_atom_site_fract_y
_atom_site_fract_z
_atom_site_occupancy
Ce1 Ce 0.0000 0.0000 0.0000 1
Ce2 Ce 0.1913 0.5000 0.7058 1
Ga1 Ga 0.0000 0.0000 0.5000 1
Ga2 Ga 0.0114 0.5000 0.2878 1
Ga3 Ga 0.1557 0.0000 0.4242 1
Ga4 Ga 0.1767 0.5000 0.0299 1
Co1 Co 0.1021 0.0000 0.8548 1
Co2 Co 0.1749 0.5000 0.2962 1
```

Main lines, by angle (2θ = 5–70°):
- 29.90 deg, rel. 38
- 34.91 deg, rel. 100
- 35.89 deg, rel. 29
- 37.20 deg, rel. 37
- 37.53 deg, rel. 77
- 38.84 deg, rel. 23
- 41.33 deg, rel. 23
- 42.34 deg, rel. 30
- 43.26 deg, rel. 60
- 62.13 deg, rel. 19


No. 3
# Ce2Ga3Co
Theoretical PXRD pattern, Cu Kα. Input: a cell relaxed with PBE.

Structure:
```
data_Ce2Ga3Co
_cell_length_a 3.6470
_cell_length_b 4.3915
_cell_length_c 7.5859
_cell_angle_alpha 90.00
_cell_angle_beta 90.00
_cell_angle_gamma 90.00
_space_group_name_H-M_alt 'P m m 2'
_space_group_IT_number 25
loop_
_space_group_symop_operation_xyz
'x,y,z'
'-x,-y,z'
'-x,y,z'
'x,-y,z'
loop_
_atom_site_label
_atom_site_type_symbol
_atom_site_fract_x
_atom_site_fract_y
_atom_site_fract_z
_atom_site_occupancy
Ce1 Ce 0.0000 0.0000 0.0000 1
Ce2 Ce 0.0000 0.5000 0.4523 1
Ga1 Ga 0.5000 0.0000 0.6279 1
Ga2 Ga 0.5000 0.5000 0.1422 1
Ga3 Ga 0.5000 0.5000 0.8036 1
Co1 Co 0.5000 0.0000 0.2972 1
```

Main lines, by angle (2θ = 5–70°):
- 23.42 deg, rel. 13
- 31.16 deg, rel. 3
- 34.08 deg, rel. 100
- 41.16 deg, rel. 51
- 43.55 deg, rel. 2
- 50.02 deg, rel. 11
- 54.47 deg, rel. 23
- 55.93 deg, rel. 3
- 58.77 deg, rel. 2
- 66.71 deg, rel. 23


No. 4
# Ce6Ga2Co
Theoretical PXRD pattern, Cu Kα. Input: a cell relaxed with PBE.

Structure:
```
data_Ce6Ga2Co
_cell_length_a 6.6656
_cell_length_b 6.6656
_cell_length_c 9.8706
_cell_angle_alpha 90.00
_cell_angle_beta 90.00
_cell_angle_gamma 90.00
_space_group_name_H-M_alt 'P 4/m n c'
_space_group_IT_number 128
_space_group_name_Hall '-P 4 2n'
loop_
_atom_site_label
_atom_site_type_symbol
_atom_site_fract_x
_atom_site_fract_y
_atom_site_fract_z
_atom_site_occupancy
Ce1 Ce 0.0000 0.0000 0.2439 1
Ce2 Ce 0.2150 0.2193 0.5000 1
Ga1 Ga 0.0000 0.5000 0.2500 1
Co1 Co 0.0000 0.0000 0.0000 1
```

Main lines, by angle (2θ = 5–70°):
- 18.83 deg, rel. 12
- 32.42 deg, rel. 100
- 36.41 deg, rel. 26
- 38.19 deg, rel. 38
- 41.67 deg, rel. 10
- 53.79 deg, rel. 28
- 55.11 deg, rel. 11
- 63.01 deg, rel. 18
- 65.41 deg, rel. 17
- 67.87 deg, rel. 12


No. 5
# Ce2Ga4CoGe2
Theoretical PXRD pattern, Cu Kα. Input: a cell relaxed with PBE.

Structure:
```
data_Ce2Ga4CoGe2
_cell_length_a 6.1682
_cell_length_b 6.1682
_cell_length_c 8.8351
_cell_angle_alpha 90.00
_cell_angle_beta 90.00
_cell_angle_gamma 90.00
_space_group_name_H-M_alt 'I 4/m m m'
_space_group_IT_number 139
_space_group_name_Hall '-I 4 2'
loop_
_atom_site_label
_atom_site_type_symbol
_atom_site_fract_x
_atom_site_fract_y
_atom_site_fract_z
_atom_site_occupancy
Ce1 Ce 0.0000 0.5000 0.2500 1
Ga1 Ga 0.2221 0.2221 0.0000 1
Co1 Co 0.0000 0.0000 0.5000 1
Ge1 Ge 0.0000 0.0000 0.2273 1
```

Main lines, by angle (2θ = 5–70°):
- 28.76 deg, rel. 18
- 28.95 deg, rel. 10
- 35.50 deg, rel. 100
- 40.86 deg, rel. 24
- 41.40 deg, rel. 45
- 45.03 deg, rel. 7
- 54.42 deg, rel. 5
- 59.57 deg, rel. 28
- 59.99 deg, rel. 13
- 67.92 deg, rel. 5


No. 6
# Ce3Ga2Co2N3
Theoretical PXRD pattern, Cu Kα. Input: a cell relaxed with PBE.

Structure:
```
data_Ce3Ga2Co2N3
_cell_length_a 3.6318
_cell_length_b 3.6318
_cell_length_c 23.2299
_cell_angle_alpha 90.00
_cell_angle_beta 90.00
_cell_angle_gamma 90.00
_space_group_name_H-M_alt 'I 4/m m m'
_space_group_IT_number 139
_space_group_name_Hall '-I 4 2'
loop_
_atom_site_label
_atom_site_type_symbol
_atom_site_fract_x
_atom_site_fract_y
_atom_site_fract_z
_atom_site_occupancy
Ce1 Ce 0.0000 0.0000 0.0000 1
Ce2 Ce 0.0000 0.0000 0.3885 1
Ga1 Ga 0.0000 0.5000 0.2500 1
Co1 Co 0.0000 0.0000 0.1784 1
N1 N 0.0000 0.0000 0.0998 1
N2 N 0.0000 0.0000 0.5000 1
```

Main lines, by angle (2θ = 5–70°):
- 30.79 deg, rel. 21
- 31.26 deg, rel. 100
- 34.94 deg, rel. 34
- 35.81 deg, rel. 26
- 38.32 deg, rel. 26
- 42.23 deg, rel. 14
- 50.24 deg, rel. 33
- 53.17 deg, rel. 33
- 60.10 deg, rel. 13
- 60.37 deg, rel. 31


No. 7
# CeGa4CoPt2
Theoretical PXRD pattern, Cu Kα. Input: a cell relaxed with PBE.

Structure:
```
data_CeGa4CoPt2
_cell_length_a 4.2530
_cell_length_b 4.2530
_cell_length_c 26.0763
_cell_angle_alpha 90.00
_cell_angle_beta 90.00
_cell_angle_gamma 120.00
_space_group_name_H-M_alt 'R -3 m'
_space_group_IT_number 166
_space_group_name_Hall '-R 3 2"'
loop_
_atom_site_label
_atom_site_type_symbol
_atom_site_fract_x
_atom_site_fract_y
_atom_site_fract_z
_atom_site_occupancy
Ce1 Ce 0.0000 0.0000 0.0000 1
Ga1 Ga 0.0000 0.0000 0.1344 1
Ga2 Ga 0.0000 0.0000 0.4009 1
Co1 Co 0.0000 0.0000 0.5000 1
Pt1 Pt 0.0000 0.0000 0.2349 1
```

Main lines, by angle (2θ = 5–70°):
- 10.18 deg, rel. 16
- 25.12 deg, rel. 10
- 27.82 deg, rel. 35
- 29.69 deg, rel. 37
- 36.82 deg, rel. 82
- 42.51 deg, rel. 100
- 45.50 deg, rel. 29
- 51.91 deg, rel. 16
- 53.45 deg, rel. 11
- 57.48 deg, rel. 22


No. 8
# Ce2Ga6CoRu
Theoretical PXRD pattern, Cu Kα. Input: a cell relaxed with PBE.

Structure:
```
data_Ce2Ga6CoRu
_cell_length_a 9.3035
_cell_length_b 9.3035
_cell_length_c 9.3035
_cell_angle_alpha 90.00
_cell_angle_beta 90.00
_cell_angle_gamma 90.00
_space_group_name_H-M_alt 'F m -3 m'
_space_group_IT_number 225
_space_group_name_Hall '-F 4 2 3'
loop_
_atom_site_label
_atom_site_type_symbol
_atom_site_fract_x
_atom_site_fract_y
_atom_site_fract_z
_atom_site_occupancy
Ce1 Ce 0.2500 0.2500 0.2500 1
Ga1 Ga 0.0000 0.0000 0.2428 1
Co1 Co 0.0000 0.0000 0.0000 1
Ru1 Ru 0.0000 0.0000 0.5000 1
```

Main lines, by angle (2θ = 5–70°):
- 19.08 deg, rel. 1
- 27.11 deg, rel. 59
- 31.90 deg, rel. 2
- 33.36 deg, rel. 79
- 38.71 deg, rel. 100
- 42.35 deg, rel. 2
- 47.90 deg, rel. 24
- 55.91 deg, rel. 67
- 63.21 deg, rel. 11
- 66.69 deg, rel. 30


No. 9
# Ce5CoGe3
Theoretical PXRD pattern, Cu Kα. Input: a cell relaxed with PBE.

Structure:
```
data_Ce5CoGe3
_cell_length_a 8.9680
_cell_length_b 8.9680
_cell_length_c 6.1706
_cell_angle_alpha 90.00
_cell_angle_beta 90.00
_cell_angle_gamma 120.00
_space_group_name_H-M_alt 'P 63/m c m'
_space_group_IT_number 193
_space_group_name_Hall '-P 6c 2'
loop_
_atom_site_label
_atom_site_type_symbol
_atom_site_fract_x
_atom_site_fract_y
_atom_site_fract_z
_atom_site_occupancy
Ce1 Ce 0.0000 0.2524 0.2500 1
Ce2 Ce 0.3333 0.6667 0.0000 1
Co1 Co 0.0000 0.0000 0.0000 1
Ge1 Ge 0.0000 0.3907 0.7500 1
```

Main lines, by angle (2θ = 5–70°):
- 30.45 deg, rel. 21
- 33.81 deg, rel. 88
- 34.65 deg, rel. 63
- 35.31 deg, rel. 100
- 50.31 deg, rel. 29
- 53.53 deg, rel. 15
- 54.11 deg, rel. 14
- 54.47 deg, rel. 22
- 55.96 deg, rel. 15
- 69.89 deg, rel. 14


No. 10
# CeCo4Ge4
Theoretical PXRD pattern, Cu Kα. Input: a cell relaxed with PBE.

Structure:
```
data_CeCo4Ge4
_cell_length_a 5.8067
_cell_length_b 5.8067
_cell_length_c 7.9977
_cell_angle_alpha 90.00
_cell_angle_beta 90.00
_cell_angle_gamma 90.00
_space_group_name_H-M_alt 'P 42/n m c'
_space_group_IT_number 137
loop_
_space_group_symop_operation_xyz
'x,y,z'
'-x,-y,-z'
'-y+1/2,x,z+1/2'
'y+1/2,-x,-z+1/2'
'-x+1/2,-y+1/2,z'
'x+1/2,y+1/2,-z'
'y,-x+1/2,z+1/2'
'-y,x+1/2,-z+1/2'
'x+1/2,-y,-z'
'-x+1/2,y,z'
'-y,-x,-z+1/2'
'y,x,z+1/2'
'-x,y+1/2,-z'
'x,-y+1/2,z'
'y+1/2,x+1/2,-z+1/2'
'-y+1/2,-x+1/2,z+1/2'
loop_
_atom_site_label
_atom_site_type_symbol
_atom_site_fract_x
_atom_site_fract_y
_atom_site_fract_z
_atom_site_occupancy
Ce1 Ce 0.2500 0.7500 0.2500 1
Co1 Co 0.0277 0.2500 0.1330 1
Ge1 Ge 0.0350 0.2500 0.4265 1
```

Main lines, by angle (2θ = 5–70°):
- 31.22 deg, rel. 23
- 36.38 deg, rel. 100
- 37.11 deg, rel. 47
- 44.11 deg, rel. 19
- 46.23 deg, rel. 15
- 49.65 deg, rel. 12
- 49.94 deg, rel. 16
- 58.97 deg, rel. 28
- 64.15 deg, rel. 16
- 65.12 deg, rel. 16


No. 11
# Ce2CoGe2
Theoretical PXRD pattern, Cu Kα. Input: a cell relaxed with PBE.

Structure:
```
data_Ce2CoGe2
_cell_length_a 5.2285
_cell_length_b 10.0194
_cell_length_c 3.9351
_cell_angle_alpha 90.00
_cell_angle_beta 90.00
_cell_angle_gamma 90.00
_space_group_name_H-M_alt 'P b a m'
_space_group_IT_number 55
loop_
_space_group_symop_operation_xyz
'x,y,z'
'-x,-y,-z'
'-x,-y,z'
'x,y,-z'
'x+1/2,-y+1/2,-z'
'-x+1/2,y+1/2,z'
'-x+1/2,y+1/2,-z'
'x+1/2,-y+1/2,z'
loop_
_atom_site_label
_atom_site_type_symbol
_atom_site_fract_x
_atom_site_fract_y
_atom_site_fract_z
_atom_site_occupancy
Ce1 Ce 0.1198 0.1516 0.0000 1
Co1 Co 0.0000 0.5000 0.0000 1
Ge1 Ge 0.1719 0.3958 0.5000 1
```

Main lines, by angle (2θ = 5–70°):
- 22.60 deg, rel. 26
- 29.78 deg, rel. 18
- 31.79 deg, rel. 32
- 33.65 deg, rel. 100
- 35.49 deg, rel. 42
- 35.85 deg, rel. 18
- 39.36 deg, rel. 55
- 46.14 deg, rel. 26
- 59.52 deg, rel. 18
- 63.04 deg, rel. 18


No. 12
# Ce3CoGe2
Theoretical PXRD pattern, Cu Kα. Input: a cell relaxed with PBE.

Structure:
```
data_Ce3CoGe2
_cell_length_a 11.8092
_cell_length_b 4.1903
_cell_length_c 11.1731
_cell_angle_alpha 90.00
_cell_angle_beta 90.00
_cell_angle_gamma 90.00
_space_group_name_H-M_alt 'P n m a'
_space_group_IT_number 62
loop_
_space_group_symop_operation_xyz
'x,y,z'
'-x,-y,-z'
'-x+1/2,-y,z+1/2'
'x+1/2,y,-z+1/2'
'x+1/2,-y+1/2,-z+1/2'
'-x+1/2,y+1/2,z+1/2'
'-x,y+1/2,-z'
'x,-y+1/2,z'
loop_
_atom_site_label
_atom_site_type_symbol
_atom_site_fract_x
_atom_site_fract_y
_atom_site_fract_z
_atom_site_occupancy
Ce1 Ce 0.0503 0.2500 0.1225 1
Ce2 Ce 0.1191 0.7500 0.5556 1
Ce3 Ce 0.2283 0.2500 0.7958 1
Co1 Co 0.1250 0.2500 0.3686 1
Ge1 Ge 0.0162 0.7500 0.3096 1
Ge2 Ge 0.1988 0.7500 0.9984 1
```

Main lines, by angle (2θ = 5–70°):
- 27.29 deg, rel. 29
- 27.71 deg, rel. 32
- 30.67 deg, rel. 33
- 32.17 deg, rel. 100
- 32.95 deg, rel. 25
- 34.36 deg, rel. 21
- 35.16 deg, rel. 51
- 38.15 deg, rel. 36
- 43.18 deg, rel. 42
- 50.69 deg, rel. 21